Simulated X-ray diffraction stick pattern
Compound: Rb2TlSbCl6
Radiation: Cu Kα (weighted mean of Kα1 and Kα2)
Structure: a crystal structure in the Materials Project, relaxed with PBE

Crystal structure
```
data_Rb2TlSbCl6
_chemical_formula_sum 'Rb8 Tl4 Sb4 Cl24'
_cell_length_a 11.3901
_cell_length_b 11.3901
_cell_length_c 11.3901
_cell_angle_alpha 90.00
_cell_angle_beta 90.00
_cell_angle_gamma 90.00
_space_group_name_H-M_alt 'F m -3 m'
_space_group_IT_number 225
_space_group_name_Hall '-F 4 2 3'
loop_
_atom_site_label
_atom_site_fract_x
_atom_site_fract_y
_atom_site_fract_z
_atom_site_occupancy
Rb1 0.2500 0.2500 0.2500 1
Tl1 0.0000 0.0000 0.0000 1
Sb1 0.0000 0.0000 0.5000 1
Cl1 0.0000 0.0000 0.2664 1
```

Principal peaks in the range 2θ = 15–90°, by angle:
index, d [Å], I (rel.)
2 0 0, 5.695, 32
2 2 0, 4.027, 100
4 0 0, 2.848, 58
4 2 2, 2.325, 47
4 4 0, 2.014, 40
6 2 0, 1.801, 24
6 4 2, 1.522, 27
8 4 0, 1.273, 17